# MgMnPO5
Theoretical powder X-ray diffraction pattern, λ = 1.5418 Å (Cu Kα). Input: a cell relaxed with PBE+U.

Cell and atoms:
abc: 5.415 5.419 6.912
angles: 104.96 104.92 100.89
Sites, in units of the cell vectors:
Mg: 0.000 0.000 0.000
Mg: 0.363 0.634 0.498
Mn: 0.603 0.257 0.694
Mn: 0.622 0.241 0.194
P: 0.237 0.584 0.936
P: 0.949 0.876 0.436
O: 0.237 0.971 0.596
O: 0.268 0.376 0.052
O: 0.337 0.873 0.096
O: 0.383 0.547 0.771
O: 0.517 0.332 0.437
O: 0.694 0.149 0.936
O: 0.739 0.904 0.551
O: 0.917 0.030 0.276
O: 0.933 0.580 0.325
O: 0.940 0.571 0.831

Largest 6 diffraction maxima, most intense first, 15 to 90 degrees two-theta:
h k l  2θ (°)  intensity
1 0 -2  28.07  100
1 1 0  28.29  73
2 -1 0  35.23  48
1 1 -4  53.34  27
1 -1 2  35.63  26
0 1 0  17.62  22